No. 1
Starting from a crystal structure in the Materials Project, relaxed with GGA+U, the powder diffraction line list of Li2Cr2S3O12 was simulated for Cu Ka.

Principal peaks in the range 2θ = 15–90°, in order of falling intensity:
Position (°2θ)	I/Imax
24.6	100
23.3	54
31.3	47
30.3	36
22.0	25
27.0	18
45.1	17
36.8	15

Structural model:
```
Li2Cr2S3O12
1.0
6.866 -4.332 0.000
6.866 4.332 0.000
-4.554 0.000 8.079
Li Cr S O
4 4 6 24
direct
0.137 0.327 0.050 Li
0.327 0.137 0.550 Li
0.673 0.863 0.450 Li
0.863 0.673 0.950 Li
0.132 0.633 0.480 Cr
0.367 0.868 0.020 Cr
0.633 0.132 0.980 Cr
0.868 0.367 0.520 Cr
0.054 0.946 0.250 S
0.245 0.455 0.824 S
0.455 0.245 0.324 S
0.545 0.755 0.676 S
0.755 0.545 0.176 S
0.946 0.054 0.750 S
0.042 0.135 0.385 O
0.090 0.795 0.316 O
0.126 0.440 0.646 O
0.130 0.497 0.931 O
0.135 0.042 0.885 O
0.205 0.910 0.184 O
0.260 0.389 0.315 O
0.337 0.600 0.878 O
0.389 0.260 0.815 O
0.400 0.663 0.622 O
0.440 0.126 0.146 O
0.497 0.130 0.431 O
0.503 0.870 0.569 O
0.560 0.874 0.854 O
0.600 0.337 0.378 O
0.611 0.740 0.185 O
0.663 0.400 0.122 O
0.740 0.611 0.685 O
0.795 0.090 0.816 O
0.865 0.958 0.115 O
0.870 0.503 0.069 O
0.874 0.560 0.354 O
0.910 0.205 0.684 O
0.958 0.865 0.615 O
```

---

No. 2
Starting from a crystal structure in the Materials Project, relaxed with GGA+U, the powder diffraction line list of Al2FeP2H18O18 was simulated for Cu Ka.

Principal peaks in the range 2θ = 15–90°, in order of falling intensity:
Position (°2θ)	I/Imax
18.5	100
27.6	85
34.5	60
31.0	51
28.6	45
17.8	35
18.6	31
22.6	31

Structural model:
```
Al2FeP2H18O18
1.0
5.263 0.000 0.000
-2.459 6.588 0.000
-2.035 -1.935 9.956
Al Fe P H O
2 1 2 18 18
direct
0.000 0.000 0.000 Al
0.000 0.500 0.000 Al
0.500 0.000 0.500 Fe
0.491 0.083 0.836 P
0.509 0.917 0.164 P
0.045 0.009 0.626 H
0.118 0.700 0.831 H
0.175 0.591 0.411 H
0.190 0.053 0.294 H
0.200 0.511 0.782 H
0.319 0.609 0.563 H
0.337 0.327 0.991 H
0.397 0.420 0.227 H
0.425 0.351 0.694 H
0.575 0.649 0.306 H
0.603 0.580 0.773 H
0.663 0.673 0.009 H
0.681 0.391 0.437 H
0.800 0.489 0.218 H
0.810 0.947 0.706 H
0.825 0.409 0.589 H
0.882 0.300 0.169 H
0.955 0.991 0.374 H
0.053 0.545 0.819 O
0.149 0.291 0.007 O
0.161 0.052 0.386 O
0.218 0.957 0.875 O
0.245 0.683 0.498 O
0.306 0.034 0.151 O
0.371 0.701 0.071 O
0.411 0.109 0.687 O
0.429 0.496 0.704 O
0.571 0.504 0.296 O
0.589 0.891 0.313 O
0.629 0.299 0.929 O
0.694 0.966 0.849 O
0.755 0.317 0.502 O
0.782 0.043 0.125 O
0.839 0.948 0.614 O
0.851 0.709 0.993 O
0.947 0.455 0.181 O
```

---

No. 3
Starting from a crystal structure in the Materials Project, relaxed with GGA+U, the powder diffraction line list of Li3NiAsCO7 was simulated for Cu Ka.

Principal peaks in the range 2θ = 15–90°, in order of falling intensity:
Position (°2θ)	I/Imax
27.1	100
19.7	47
21.2	47
25.2	46
26.3	44
31.7	31
44.9	31
36.2	27

Structural model:
```
Li3NiAsCO7
1.0
5.077 0.000 0.000
0.000 6.570 0.000
-0.694 0.000 8.479
Li Ni As C O
6 2 2 2 14
direct
0.221 0.250 0.097 Li
0.248 0.519 0.732 Li
0.248 0.981 0.732 Li
0.752 0.019 0.268 Li
0.752 0.481 0.268 Li
0.779 0.750 0.903 Li
0.207 0.750 0.321 Ni
0.793 0.250 0.679 Ni
0.279 0.250 0.417 As
0.721 0.750 0.583 As
0.311 0.750 0.033 C
0.689 0.250 0.967 C
0.067 0.750 0.068 O
0.167 0.054 0.294 O
0.167 0.250 0.601 O
0.167 0.446 0.294 O
0.374 0.750 0.888 O
0.379 0.750 0.556 O
0.495 0.750 0.149 O
0.505 0.250 0.851 O
0.621 0.250 0.444 O
0.626 0.250 0.112 O
0.833 0.554 0.706 O
0.833 0.750 0.399 O
0.833 0.946 0.706 O
0.933 0.250 0.932 O
```

---

No. 4
Starting from a crystal structure in the Materials Project, relaxed with GGA+U, the powder diffraction line list of SrLaFeCoO6 was simulated for Cu Ka.

Principal peaks in the range 2θ = 15–90°, in order of falling intensity:
Position (°2θ)	I/Imax
32.3	100
32.4	99
32.6	97
40.0	45
57.5	38
58.0	37
58.2	37
46.0	36

Structural model:
```
SrLaFeCoO6
1.0
3.893 -3.949 0.000
3.893 3.949 0.000
0.000 0.000 7.732
Sr La Fe Co O
2 2 2 2 12
direct
0.000 0.500 0.250 Sr
0.500 0.000 0.750 Sr
0.000 0.500 0.750 La
0.500 0.000 0.250 La
0.000 0.000 0.500 Fe
0.500 0.500 0.000 Fe
0.000 0.000 0.000 Co
0.500 0.500 0.500 Co
0.000 0.000 0.241 O
0.000 0.000 0.759 O
0.248 0.752 0.500 O
0.253 0.253 0.000 O
0.253 0.747 0.000 O
0.256 0.256 0.500 O
0.500 0.500 0.249 O
0.500 0.500 0.751 O
0.744 0.744 0.500 O
0.747 0.253 0.000 O
0.747 0.747 0.000 O
0.752 0.248 0.500 O
```

---

No. 5
Starting from a crystal structure in the Materials Project, relaxed with GGA+U, the powder diffraction line list of Sr2MgZrVO6 was simulated for Cu Ka.

Principal peaks in the range 2θ = 15–90°, in order of falling intensity:
Position (°2θ)	I/Imax
28.8	100
43.8	75
32.5	73
30.5	53
30.7	52
45.4	37
18.0	32
44.5	22

Structural model:
```
Sr2MgZrVO6
1.0
-2.908 2.936 4.677
2.908 -2.936 4.677
2.908 2.936 -4.677
Sr Mg Zr V O
2 1 1 1 6
direct
0.182 0.182 0.000 Sr
0.818 0.818 0.000 Sr
0.500 0.500 0.000 Mg
0.500 0.000 0.500 Zr
0.000 0.500 0.500 V
0.253 0.256 0.510 O
0.253 0.744 0.997 O
0.265 0.765 0.500 O
0.735 0.235 0.500 O
0.747 0.256 0.003 O
0.747 0.744 0.490 O
```

---

No. 6
Starting from a crystal structure in the Materials Project, relaxed with GGA+U, the powder diffraction line list of MgV2P2H2O10 was simulated for Cu Ka.

Principal peaks in the range 2θ = 15–90°, in order of falling intensity:
Position (°2θ)	I/Imax
26.5	100
28.4	73
26.4	45
36.2	40
18.4	32
54.6	22
25.9	21
17.8	16

Structural model:
```
MgV2P2H2O10
1.0
5.265 0.000 0.000
-0.562 5.426 0.000
-2.204 -2.839 6.520
Mg V P H O
1 2 2 2 10
direct
0.000 0.000 0.000 Mg
0.021 0.675 0.290 V
0.507 0.170 0.762 V
0.442 0.786 0.026 P
0.596 0.549 0.523 P
0.017 0.395 0.933 H
0.026 0.138 0.539 H
0.149 0.014 0.534 O
0.274 0.838 0.171 O
0.285 0.489 0.415 O
0.343 0.488 0.878 O
0.350 0.982 0.919 O
0.676 0.344 0.620 O
0.701 0.839 0.703 O
0.735 0.524 0.365 O
0.756 0.868 0.134 O
0.900 0.343 0.002 O
```